1.
CdGa5Pt3: computed powder X-ray diffraction pattern (a wavelength of 1.5418 Å), based on a DFT-relaxed cell (GGA-PBE, Alexandria).
Lines closer than 0.1° are merged.

Peak list (12 most intense, 5° ≤ 2θ ≤ 70°, low angle first)
20.05°, intensity 78.0
20.81°, intensity 100.0
28.95°, intensity 30.6
29.83°, intensity 50.9
33.11°, intensity 39.2
40.42°, intensity 34.3
40.76°, intensity 31.7
42.34°, intensity 38.9
42.38°, intensity 32.3
42.52°, intensity 38.1
50.88°, intensity 28.9
52.53°, intensity 30.6

Cell and atoms:
```
CdGa5Pt3
1.0
5.782 -4.269 0.000
5.782 4.269 0.000
-4.810 0.000 8.042
Cd Ga Pt
2 10 6
direct
0.129 0.129 0.335
0.871 0.871 0.665
0.057 0.633 0.317
0.231 0.231 0.031
0.289 0.711 0.000
0.367 0.943 0.683
0.412 0.412 0.645
0.588 0.588 0.355
0.633 0.057 0.317
0.711 0.289 0.000
0.769 0.769 0.969
0.943 0.367 0.683
0.000 0.000 0.000
0.000 0.000 0.500
0.327 0.327 0.842
0.368 0.368 0.343
0.632 0.632 0.657
0.673 0.673 0.158
```

=====

2.
LiZn6Pt: computed powder X-ray diffraction pattern (a wavelength of 1.5418 Å), based on a DFT-relaxed cell (GGA-PBE, Alexandria).
Lines closer than 0.1° are merged.

Peak list (12 most intense, 5° ≤ 2θ ≤ 70°, low angle first)
17.31°, intensity 100.0
26.01°, intensity 20.0
26.35°, intensity 53.7
35.03°, intensity 20.9
37.36°, intensity 18.7
38.60°, intensity 50.5
41.22°, intensity 95.2
44.15°, intensity 76.9
53.49°, intensity 12.9
53.68°, intensity 23.6
54.62°, intensity 12.9
54.80°, intensity 25.0

Cell and atoms:
```
LiZn6Pt
1.0
3.426 1.978 3.382
-3.426 1.978 3.382
0.000 -3.956 3.382
Li Zn Pt
1 6 1
direct
0.000 0.000 0.000
0.026 0.658 0.658
0.342 0.342 0.974
0.342 0.974 0.342
0.658 0.026 0.658
0.658 0.658 0.026
0.974 0.342 0.342
0.500 0.500 0.500
```

=====

3.
RbTiNbO5: computed powder X-ray diffraction pattern (a wavelength of 1.5418 Å), based on a DFT-relaxed cell (GGA-PBE, Alexandria).
Lines closer than 0.1° are merged.

Peak list (12 most intense, 5° ≤ 2θ ≤ 70°, low angle first)
9.12°, intensity 20.7
22.83°, intensity 35.2
26.96°, intensity 77.3
27.27°, intensity 79.1
30.28°, intensity 100.0
30.85°, intensity 62.0
38.72°, intensity 21.4
40.09°, intensity 16.0
47.24°, intensity 29.4
50.49°, intensity 22.5
55.40°, intensity 15.7
57.49°, intensity 21.8

Cell and atoms:
```
RbTiNbO5
1.0
6.541 0.000 0.000
0.000 3.848 0.000
0.000 0.000 19.400
Rb Ti Nb O
4 4 4 20
direct
0.221 0.250 0.193
0.279 0.750 0.693
0.721 0.250 0.307
0.779 0.750 0.807
0.178 0.250 0.533
0.322 0.750 0.033
0.678 0.250 0.967
0.822 0.750 0.467
0.224 0.250 0.895
0.276 0.750 0.395
0.724 0.250 0.605
0.776 0.750 0.105
0.030 0.250 0.616
0.071 0.750 0.071
0.143 0.750 0.510
0.158 0.250 0.804
0.234 0.750 0.924
0.266 0.250 0.424
0.342 0.750 0.304
0.357 0.250 0.010
0.429 0.250 0.571
0.470 0.750 0.116
0.530 0.250 0.884
0.571 0.750 0.429
0.643 0.750 0.990
0.658 0.250 0.696
0.734 0.750 0.576
0.766 0.250 0.076
0.842 0.750 0.196
0.857 0.250 0.490
0.929 0.250 0.929
0.970 0.750 0.384
```

=====

4.
Ti2Ga2Au3: computed powder X-ray diffraction pattern (a wavelength of 1.5418 Å), based on a DFT-relaxed cell (GGA-PBE, Alexandria).
Lines closer than 0.1° are merged.

Peak list (12 most intense, 5° ≤ 2θ ≤ 70°, low angle first)
8.90°, intensity 17.9
17.86°, intensity 16.8
24.81°, intensity 63.8
30.84°, intensity 59.1
37.78°, intensity 23.7
38.07°, intensity 100.0
39.98°, intensity 44.4
41.39°, intensity 20.2
42.34°, intensity 42.1
44.10°, intensity 23.7
49.77°, intensity 55.2
53.29°, intensity 26.4

Cell and atoms:
```
Ti2Ga2Au3
1.0
4.269 0.000 0.000
0.000 2.899 0.000
-2.139 0.000 9.935
Ti Ga Au
2 2 3
direct
0.075 0.000 0.150
0.925 0.000 0.850
0.367 0.500 0.732
0.633 0.500 0.268
0.204 0.500 0.408
0.500 0.500 0.000
0.796 0.500 0.592
```

=====

5.
NaRh5Se8: computed powder X-ray diffraction pattern (a wavelength of 1.5418 Å), based on a DFT-relaxed cell (GGA-PBE, Alexandria).
Lines closer than 0.1° are merged.

Peak list (12 most intense, 5° ≤ 2θ ≤ 70°, low angle first)
9.49°, intensity 57.9
10.69°, intensity 100.0
12.02°, intensity 50.7
30.46°, intensity 29.5
31.52°, intensity 73.4
32.71°, intensity 37.4
33.67°, intensity 23.6
38.11°, intensity 26.6
39.80°, intensity 30.9
46.66°, intensity 38.8
48.66°, intensity 75.1
48.93°, intensity 36.6

Cell and atoms:
```
NaRh5Se8
1.0
9.751 -1.862 0.000
9.751 1.862 0.000
-2.557 0.000 8.280
Na Rh Se
1 5 8
direct
0.000 0.000 0.000
0.156 0.156 0.460
0.200 0.200 0.824
0.499 0.499 0.500
0.799 0.799 0.176
0.843 0.843 0.540
0.076 0.076 0.633
0.264 0.264 0.355
0.323 0.323 0.011
0.420 0.420 0.690
0.578 0.578 0.310
0.675 0.675 0.989
0.734 0.734 0.645
0.922 0.922 0.367
```

=====

6.
Sm3Mg2Cd6: computed powder X-ray diffraction pattern (a wavelength of 1.5418 Å), based on a DFT-relaxed cell (GGA-PBE, Alexandria).
Lines closer than 0.1° are merged.

Peak list (12 most intense, 5° ≤ 2θ ≤ 70°, low angle first)
6.20°, intensity 28.5
25.31°, intensity 21.5
28.93°, intensity 21.8
30.94°, intensity 100.0
31.37°, intensity 36.0
34.06°, intensity 60.8
34.70°, intensity 41.3
38.05°, intensity 48.8
40.34°, intensity 71.7
51.98°, intensity 34.1
54.25°, intensity 22.6
58.38°, intensity 23.5

Cell and atoms:
```
Sm3Mg2Cd6
1.0
-2.236 2.236 14.258
2.236 -2.236 14.258
2.236 2.236 -14.258
Sm Mg Cd
3 2 6
direct
0.000 0.000 0.000
0.205 0.205 0.000
0.795 0.795 0.000
0.452 0.452 0.000
0.548 0.548 0.000
0.110 0.610 0.500
0.318 0.318 0.000
0.390 0.890 0.500
0.610 0.110 0.500
0.682 0.682 0.000
0.890 0.390 0.500
```

=====

7.
CoSn2Te2: computed powder X-ray diffraction pattern (a wavelength of 1.5418 Å), based on a DFT-relaxed cell (GGA-PBE, Alexandria).
Lines closer than 0.1° are merged.

Peak list (12 most intense, 5° ≤ 2θ ≤ 70°, low angle first)
23.15°, intensity 46.7
25.86°, intensity 39.2
28.58°, intensity 97.4
28.98°, intensity 100.0
36.90°, intensity 25.6
38.93°, intensity 27.5
39.72°, intensity 33.5
41.16°, intensity 77.7
41.45°, intensity 24.7
47.33°, intensity 25.3
51.12°, intensity 26.5
55.33°, intensity 39.4

Cell and atoms:
```
CoSn2Te2
1.0
6.890 0.000 0.000
0.000 6.890 0.000
0.000 0.000 6.246
Co Sn Te
2 4 4
direct
0.000 0.000 0.000
0.500 0.500 0.000
0.217 0.283 0.000
0.283 0.783 0.000
0.717 0.217 0.000
0.783 0.717 0.000
0.145 0.355 0.500
0.355 0.855 0.500
0.645 0.145 0.500
0.855 0.645 0.500
```

=====

8.
Cr4Rh5: computed powder X-ray diffraction pattern (a wavelength of 1.5418 Å), based on a DFT-relaxed cell (GGA-PBE, Alexandria).
Lines closer than 0.1° are merged.

Peak list (12 most intense, 5° ≤ 2θ ≤ 70°, low angle first)
32.25°, intensity 14.3
33.85°, intensity 10.7
35.70°, intensity 20.2
38.80°, intensity 17.7
41.25°, intensity 90.9
41.52°, intensity 15.3
42.57°, intensity 98.0
45.60°, intensity 100.0
54.75°, intensity 16.9
59.22°, intensity 20.2
64.53°, intensity 9.2
68.36°, intensity 13.9

Cell and atoms:
```
Cr4Rh5
1.0
-1.372 4.332 5.030
1.372 -4.332 5.030
1.372 4.332 -5.030
Cr Rh
4 5
direct
0.035 0.834 0.202
0.368 0.166 0.202
0.632 0.834 0.798
0.965 0.166 0.798
0.000 0.500 0.500
0.287 0.787 0.500
0.349 0.500 0.849
0.651 0.500 0.151
0.713 0.213 0.500
```

=====

9.
Er2CoRu3: computed powder X-ray diffraction pattern (a wavelength of 1.5418 Å), based on a DFT-relaxed cell (GGA-PBE, Alexandria).
Lines closer than 0.1° are merged.

Peak list (12 most intense, 5° ≤ 2θ ≤ 70°, low angle first)
34.10°, intensity 24.2
34.26°, intensity 39.3
40.27°, intensity 100.0
40.44°, intensity 29.3
42.12°, intensity 22.3
42.40°, intensity 7.0
61.04°, intensity 4.5
61.14°, intensity 15.1
61.46°, intensity 4.4
65.24°, intensity 13.6
65.34°, intensity 13.9
65.49°, intensity 9.8

Cell and atoms:
```
Er2CoRu3
1.0
2.629 1.518 4.264
-2.629 1.518 4.264
0.000 -3.036 4.264
Er Co Ru
2 1 3
direct
0.124 0.124 0.124
0.876 0.876 0.876
0.500 0.500 0.500
0.000 0.500 0.500
0.500 0.000 0.500
0.500 0.500 0.000
```

=====

10.
Pm3Zn6Au20: computed powder X-ray diffraction pattern (a wavelength of 1.5418 Å), based on a DFT-relaxed cell (GGA-PBE, Alexandria).
Lines closer than 0.1° are merged.

Peak list (12 most intense, 5° ≤ 2θ ≤ 70°, low angle first)
30.55°, intensity 16.0
33.54°, intensity 16.7
35.64°, intensity 100.0
38.93°, intensity 29.2
40.79°, intensity 36.5
41.39°, intensity 15.3
46.00°, intensity 13.0
58.12°, intensity 5.6
59.97°, intensity 24.0
61.34°, intensity 14.6
63.58°, intensity 6.8
64.91°, intensity 9.9

Cell and atoms:
```
Pm3Zn6Au20
1.0
0.000 6.544 6.544
6.544 0.000 6.544
6.544 6.544 0.000
Pm Zn Au
3 6 20
direct
0.000 0.000 0.000
0.250 0.250 0.250
0.750 0.750 0.750
0.268 0.268 0.732
0.268 0.732 0.268
0.268 0.732 0.732
0.732 0.268 0.268
0.732 0.268 0.732
0.732 0.732 0.268
0.000 0.000 0.348
0.000 0.000 0.652
0.000 0.348 0.000
0.000 0.348 0.652
0.000 0.652 0.000
0.000 0.652 0.348
0.148 0.617 0.617
0.348 0.000 0.000
0.348 0.000 0.652
0.348 0.652 0.000
0.383 0.383 0.383
0.383 0.383 0.852
0.383 0.852 0.383
0.617 0.148 0.617
0.617 0.617 0.148
0.617 0.617 0.617
0.652 0.000 0.000
0.652 0.000 0.348
0.652 0.348 0.000
0.852 0.383 0.383
```